No. 1
The following is a theoretical PXRD pattern of Y3Lu. It was derived from a GGA-PBE-relaxed structure, using Cu Kα.
Kinematic intensities with the Lorentz-polarization factor, no thermal factor.

Largest 10 diffraction maxima, by intensity, 2θ = 10–90°:
32.7°, I 1000; 28.5°, I 262; 31.8°, I 236; 60.9°, I 215; 57.3°, I 197; 50.4°, I 192; 43.2°, I 167; 61.4°, I 159; 83.4°, I 133; 16.2°, I 78

Crystal structure
```
Y3Lu
1.0
-1.810 5.621 3.132
1.810 -5.621 3.132
1.810 5.621 -3.132
Y Lu
3 1
direct
0.000 0.000 0.000
0.417 0.665 0.752
0.913 0.665 0.248
0.497 0.997 0.500
```

***

No. 2
The following is a theoretical PXRD pattern of Sb5Pt3. It was derived from a GGA-PBE-relaxed structure, using Cu Kα.
Kinematic intensities with the Lorentz-polarization factor, no thermal factor.

Largest 10 diffraction maxima, by intensity, 2θ = 10–90°:
35.1°, I 1000; 14.1°, I 228; 41.0°, I 200; 33.3°, I 186; 70.8°, I 129; 34.3°, I 120; 47.1°, I 119; 48.2°, I 100; 79.7°, I 99; 64.2°, I 94

Crystal structure
```
Sb5Pt3
1.0
3.856 -5.383 0.000
3.856 5.383 0.000
0.000 0.000 4.407
Sb Pt
5 3
direct
0.000 0.000 0.000
0.000 0.500 0.000
0.278 0.278 0.500
0.500 0.000 0.000
0.722 0.722 0.500
0.306 0.694 0.500
0.500 0.500 0.000
0.694 0.306 0.500
```

***

No. 3
The following is a theoretical PXRD pattern of Pr6Sm5Mg. It was derived from a GGA-PBE-relaxed structure, using Cu Kα.
Kinematic intensities with the Lorentz-polarization factor, no thermal factor.

Largest 10 diffraction maxima, by intensity, 2θ = 10–90°:
30.0°, I 1000; 34.7°, I 338; 59.3°, I 286; 50.2°, I 236; 35.1°, I 163; 59.9°, I 138; 62.5°, I 122; 49.9°, I 121; 81.6°, I 114; 81.1°, I 59

Crystal structure
```
Pr6Sm5Mg
1.0
-2.586 5.110 7.758
2.586 -5.110 7.758
2.586 5.110 -7.758
Pr Sm Mg
6 5 1
direct
0.081 0.835 0.246
0.247 0.500 0.747
0.412 0.165 0.246
0.588 0.835 0.754
0.753 0.500 0.253
0.919 0.165 0.754
0.170 0.670 0.500
0.335 0.335 0.000
0.500 0.000 0.500
0.665 0.665 0.000
0.830 0.330 0.500
0.000 0.000 0.000
```

***

No. 4
The following is a theoretical PXRD pattern of Pr2Sm6Cd. It was derived from a GGA-PBE-relaxed structure, using Cu Kα.
Kinematic intensities with the Lorentz-polarization factor, no thermal factor.

Largest 10 diffraction maxima, by intensity, 2θ = 10–90°:
30.4°, I 1000; 31.3°, I 638; 31.6°, I 559; 34.8°, I 343; 31.8°, I 302; 30.9°, I 299; 57.7°, I 263; 47.0°, I 243; 44.7°, I 214; 55.5°, I 207

Crystal structure
```
Pr2Sm6Cd
1.0
6.615 0.000 0.000
0.000 16.120 0.000
0.000 0.000 5.663
Pr Sm Cd
4 12 2
direct
0.230 0.196 0.000
0.270 0.696 0.000
0.730 0.304 0.000
0.770 0.804 0.000
0.084 0.595 0.500
0.088 0.809 0.500
0.248 0.448 0.000
0.252 0.948 0.000
0.412 0.309 0.500
0.416 0.095 0.500
0.584 0.905 0.500
0.588 0.691 0.500
0.748 0.052 0.000
0.752 0.552 0.000
0.912 0.191 0.500
0.916 0.405 0.500
0.000 0.000 0.500
0.500 0.500 0.500
```

***

No. 5
The following is a theoretical PXRD pattern of Tb2NdTmS6. It was derived from a GGA-PBE-relaxed structure, using Cu Kα.
Kinematic intensities with the Lorentz-polarization factor, no thermal factor.

Largest 10 diffraction maxima, by intensity, 2θ = 10–90°:
25.5°, I 1000; 24.2°, I 991; 38.9°, I 792; 45.0°, I 489; 44.2°, I 481; 35.4°, I 481; 17.5°, I 396; 51.4°, I 253; 61.0°, I 202; 64.6°, I 195

Crystal structure
```
Tb2NdTmS6
1.0
3.489 2.014 6.197
-3.489 2.014 6.197
0.000 -4.028 6.197
Tb Nd Tm S
2 1 1 6
direct
0.000 0.000 0.000
0.496 0.496 0.496
0.204 0.204 0.204
0.698 0.698 0.698
0.092 0.406 0.795
0.299 0.885 0.613
0.406 0.795 0.092
0.613 0.299 0.885
0.795 0.092 0.406
0.885 0.613 0.299
```

***

No. 6
The following is a theoretical PXRD pattern of Dy3Ag4SnSe8. It was derived from a GGA-PBE-relaxed structure, using Cu Kα.
Kinematic intensities with the Lorentz-polarization factor, no thermal factor.

Largest 10 diffraction maxima, by intensity, 2θ = 10–90°:
30.9°, I 1000; 43.5°, I 387; 45.0°, I 349; 54.3°, I 199; 72.0°, I 170; 74.2°, I 156; 80.9°, I 125; 64.4°, I 118; 26.4°, I 88; 79.9°, I 64

Crystal structure
```
Dy3Ag4SnSe8
1.0
4.160 2.402 6.474
-4.160 2.402 6.474
0.000 -4.804 6.474
Dy Ag Sn Se
3 4 1 8
direct
0.000 0.500 0.500
0.500 0.000 0.500
0.500 0.500 0.000
0.000 0.000 0.500
0.000 0.500 0.000
0.500 0.000 0.000
0.500 0.500 0.500
0.000 0.000 0.000
0.249 0.249 0.750
0.249 0.750 0.249
0.250 0.751 0.751
0.252 0.252 0.252
0.748 0.748 0.748
0.750 0.249 0.249
0.751 0.250 0.751
0.751 0.751 0.250
```

***

No. 7
The following is a theoretical PXRD pattern of InSn2Se3. It was derived from a GGA-PBE-relaxed structure, using Cu Kα.
Kinematic intensities with the Lorentz-polarization factor, no thermal factor.

Largest 10 diffraction maxima, by intensity, 2θ = 10–90°:
29.6°, I 1000; 42.6°, I 738; 30.0°, I 481; 69.7°, I 257; 52.6°, I 198; 52.8°, I 196; 42.2°, I 190; 42.4°, I 187; 70.5°, I 167; 77.4°, I 130

Crystal structure
```
InSn2Se3
1.0
-2.142 2.979 6.398
2.142 -2.979 6.398
2.142 2.979 -6.398
In Sn Se
1 2 3
direct
0.000 0.000 0.000
0.332 0.332 0.000
0.668 0.668 0.000
0.166 0.666 0.500
0.500 0.000 0.500
0.834 0.334 0.500
```

***

No. 8
The following is a theoretical PXRD pattern of BaLi3Tl3. It was derived from a GGA-PBE-relaxed structure, using Cu Kα.
Kinematic intensities with the Lorentz-polarization factor, no thermal factor.

Largest 10 diffraction maxima, by intensity, 2θ = 10–90°:
25.7°, I 1000; 34.5°, I 487; 38.6°, I 414; 43.5°, I 242; 56.7°, I 213; 64.6°, I 156; 52.7°, I 153; 16.2°, I 148; 62.3°, I 109; 19.7°, I 107

Crystal structure
```
BaLi3Tl3
1.0
4.499 2.598 5.458
-4.499 2.598 5.458
0.000 -5.195 5.458
Ba Li Tl
2 6 6
direct
0.176 0.176 0.176
0.824 0.824 0.824
0.212 0.669 0.453
0.331 0.547 0.788
0.453 0.212 0.669
0.547 0.788 0.331
0.669 0.453 0.212
0.788 0.331 0.547
0.060 0.358 0.711
0.289 0.940 0.642
0.358 0.711 0.060
0.642 0.289 0.940
0.711 0.060 0.358
0.940 0.642 0.289
```

***

No. 9
The following is a theoretical PXRD pattern of K2ThBe2O6. It was derived from a GGA-PBE-relaxed structure, using Cu Kα.
Kinematic intensities with the Lorentz-polarization factor, no thermal factor.

Largest 10 diffraction maxima, by intensity, 2θ = 10–90°:
22.2°, I 1000; 32.5°, I 425; 17.6°, I 422; 13.4°, I 382; 30.8°, I 299; 38.3°, I 279; 49.9°, I 258; 45.3°, I 190; 33.7°, I 178; 52.2°, I 164

Crystal structure
```
K2ThBe2O6
1.0
5.811 0.000 0.000
-2.905 5.032 0.000
0.000 0.000 6.590
K Th Be O
2 1 2 6
direct
0.333 0.667 0.349
0.667 0.333 0.651
0.000 0.000 0.000
0.333 0.667 0.810
0.667 0.333 0.190
0.132 0.370 0.798
0.239 0.868 0.798
0.370 0.239 0.202
0.630 0.761 0.798
0.761 0.132 0.202
0.868 0.630 0.202
```

***

No. 10
The following is a theoretical PXRD pattern of Na2Sr6Ca5. It was derived from a GGA-PBE-relaxed structure, using Cu Kα.
Kinematic intensities with the Lorentz-polarization factor, no thermal factor.

Largest 10 diffraction maxima, by intensity, 2θ = 10–90°:
28.6°, I 1000; 24.7°, I 959; 28.4°, I 939; 27.8°, I 893; 24.2°, I 793; 44.7°, I 607; 31.9°, I 560; 13.8°, I 533; 26.0°, I 476; 51.8°, I 434

Crystal structure
```
Na2Sr6Ca5
1.0
11.901 0.000 0.000
0.000 25.647 0.000
0.000 0.000 4.051
Na Sr Ca
4 12 10
direct
0.165 0.236 0.000
0.335 0.736 0.000
0.665 0.264 0.000
0.835 0.764 0.000
0.015 0.886 0.000
0.152 0.616 0.000
0.167 0.365 0.500
0.333 0.865 0.500
0.348 0.116 0.000
0.485 0.386 0.000
0.515 0.614 0.000
0.652 0.884 0.000
0.667 0.135 0.500
0.833 0.635 0.500
0.848 0.384 0.000
0.985 0.114 0.000
0.000 0.500 0.500
0.085 0.751 0.500
0.170 0.003 0.500
0.330 0.503 0.500
0.415 0.251 0.500
0.500 0.000 0.500
0.585 0.749 0.500
0.670 0.497 0.500
0.830 0.997 0.500
0.915 0.249 0.500
```

***

- Number 2 is which compound?
  Sb5Pt3